Y3WO6: simulated powder diffractogram (CuKα), based on a cell relaxed with PBE+U.
Peak positions follow from Bragg's law for the DFT cell and can differ from measured ones.

Principal peaks in the range 2θ from 5° to 70°, low angle first:
- hkl 1 1 1, d 4.419, 2θ 20.09, intensity 15
- hkl 2 2 0, d 3.491, 2θ 25.51, intensity 13
- hkl 1 3 0, d 3.439, 2θ 25.91, intensity 18
- hkl 2 2 1, d 2.978, 2θ 30.00, intensity 100
- hkl 1 3 1, d 2.945, 2θ 30.35, intensity 39
- hkl 0 0 2, d 2.854, 2θ 31.35, intensity 22
- hkl 3 1 1, d 2.571, 2θ 34.89, intensity 24
- hkl 3 5 0, d 1.788, 2θ 51.08, intensity 21
- hkl 2 2 3, d 1.670, 2θ 54.98, intensity 19
- hkl 3 5 2, d 1.515, 2θ 61.16, intensity 23

Atomic structure:
```
data_Y3WO6
_symmetry_space_group_name_H-M 'C m c 21'
_symmetry_Int_Tables_number 36
_symmetry_space_group_name_Hall 'C 2c -2'
_cell_length_a 8.9429
_cell_length_b 11.1752
_cell_length_c 5.7070
_cell_angle_alpha 90.00
_cell_angle_beta 90.00
_cell_angle_gamma 90.00
loop_
_atom_site_label
_atom_site_type_symbol
_atom_site_fract_x
_atom_site_fract_y
_atom_site_fract_z
_atom_site_occupancy
Y1 Y 0.0000 0.0998 0.0000 1
Y2 Y 0.1985 0.3948 0.9508 1
W1 W 0.0000 0.3081 0.4373 1
O1 O 0.0000 0.2862 0.7732 1
O2 O 0.0000 0.4581 0.1977 1
O3 O 0.1591 0.0184 0.7239 1
O4 O 0.1595 0.2351 0.2054 1
```

Y2W2O9: simulated powder diffractogram (CuKα), based on a cell relaxed with PBE+U.
Peak positions follow from Bragg's law for the DFT cell and can differ from measured ones.

Principal peaks in the range 2θ from 5° to 70°, low angle first:
- hkl 6 0 0, d 3.982, 2θ 22.32, intensity 41
- hkl 1 1 1, d 3.791, 2θ 23.47, intensity 100
- hkl 4 1 1, d 3.230, 2θ 27.62, intensity 75
- hkl 8 0 0, d 2.991, 2θ 29.87, intensity 78
- hkl 0 2 0, d 2.662, 2θ 33.67, intensity 23
- hkl 7 1 1, d 2.551, 2θ 35.18, intensity 20
- hkl 8 2 0, d 1.987, 2θ 45.65, intensity 16
- hkl 2 1 3, d 1.727, 2θ 53.01, intensity 16
- hkl 13 1 1, d 1.658, 2θ 55.42, intensity 18
- hkl 9 2 2, d 1.555, 2θ 59.42, intensity 16

Atomic structure:
```
data_Y2W2O9
_symmetry_space_group_name_H-M 'P b c n'
_symmetry_Int_Tables_number 60
_symmetry_space_group_name_Hall '-P 2n 2ab'
_cell_length_a 23.8946
_cell_length_b 5.3238
_cell_length_c 5.5436
_cell_angle_alpha 90.00
_cell_angle_beta 90.00
_cell_angle_gamma 90.00
loop_
_atom_site_label
_atom_site_type_symbol
_atom_site_fract_x
_atom_site_fract_y
_atom_site_fract_z
_atom_site_occupancy
Y1 Y 0.2028 0.2206 0.0623 1
W1 W 0.0765 0.2504 0.6753 1
O1 O 0.0000 0.3502 0.7500 1
O2 O 0.0579 0.0440 0.4250 1
O3 O 0.0981 0.4631 0.9958 1
O4 O 0.1487 0.1198 0.7133 1
O5 O 0.2403 0.4958 0.3188 1
```

Y2W2O9: simulated powder diffractogram (CuKα), based on a cell relaxed with PBE+U.
Peak positions follow from Bragg's law for the DFT cell and can differ from measured ones.

Principal peaks in the range 2θ from 5° to 70°, low angle first:
- hkl 1 1 1, d 4.752, 2θ 18.67, intensity 70
- hkl 1 -1 1, d 3.535, 2θ 25.19, intensity 40
- hkl 0 2 0, d 3.363, 2θ 26.50, intensity 100
- hkl 2 0 0, d 3.334, 2θ 26.74, intensity 32
- hkl 1 0 2, d 3.195, 2θ 27.92, intensity 65
- hkl 2 1 0, d 3.113, 2θ 28.68, intensity 42
- hkl 1 0 -2, d 3.039, 2θ 29.39, intensity 81
- hkl 0 2 2, d 2.944, 2θ 30.36, intensity 28
- hkl 1 2 2, d 2.843, 2θ 31.47, intensity 28
- hkl 1 -2 2, d 2.003, 2θ 45.26, intensity 33

Atomic structure:
```
data_Y2W2O9
_symmetry_space_group_name_H-M 'P -1'
_symmetry_Int_Tables_number 2
_symmetry_space_group_name_Hall '-P 1'
_cell_length_a 6.7336
_cell_length_b 7.1518
_cell_length_c 7.4628
_cell_angle_alpha 70.96
_cell_angle_beta 84.34
_cell_angle_gamma 82.76
loop_
_atom_site_label
_atom_site_type_symbol
_atom_site_fract_x
_atom_site_fract_y
_atom_site_fract_z
_atom_site_occupancy
Y1 Y 0.1120 0.2993 0.3711 1
Y2 Y 0.3448 0.7372 0.8480 1
W1 W 0.2344 0.2612 0.9480 1
W2 W 0.3401 0.7957 0.3686 1
O1 O 0.0029 0.7541 0.9033 1
O2 O 0.1343 0.6416 0.3777 1
O3 O 0.1755 0.4886 0.7496 1
O4 O 0.1827 0.9039 0.5477 1
O5 O 0.2321 0.0535 0.8569 1
O6 O 0.3199 0.4306 0.0904 1
O7 O 0.3524 0.0709 0.2210 1
O8 O 0.4549 0.3001 0.4709 1
O9 O 0.4631 0.7423 0.1400 1
```

YW3O8: simulated powder diffractogram (CuKα), based on a cell relaxed with PBE+U.
Peak positions follow from Bragg's law for the DFT cell and can differ from measured ones.

Principal peaks in the range 2θ from 5° to 70°, low angle first:
- hkl 0 1 2, d 3.733, 2θ 23.84, intensity 79
- hkl 1 1 1, d 3.126, 2θ 28.56, intensity 100
- hkl 1 1 -3, d 3.036, 2θ 29.42, intensity 91
- hkl 2 0 -2, d 2.725, 2θ 32.87, intensity 42
- hkl 1 2 -1, d 2.580, 2θ 34.78, intensity 59
- hkl 0 0 4, d 2.422, 2θ 37.12, intensity 28
- hkl 0 3 2, d 1.811, 2θ 50.39, intensity 31
- hkl 1 2 3, d 1.783, 2θ 51.23, intensity 29
- hkl 1 2 -5, d 1.749, 2θ 52.30, intensity 28
- hkl 3 2 -3, d 1.544, 2θ 59.93, intensity 21

Atomic structure:
```
data_YW3O8
_symmetry_space_group_name_H-M 'P 1 2/c 1'
_symmetry_Int_Tables_number 13
_symmetry_space_group_name_Hall '-P 2yc'
_cell_length_a 5.4537
_cell_length_b 5.8570
_cell_length_c 10.9310
_cell_angle_alpha 90.00
_cell_angle_beta 117.57
_cell_angle_gamma 90.00
loop_
_atom_site_label
_atom_site_type_symbol
_atom_site_fract_x
_atom_site_fract_y
_atom_site_fract_z
_atom_site_occupancy
Y1 Y 0.0000 0.1705 0.2500 1
W1 W 0.2544 0.3494 0.0017 1
W2 W 0.5000 0.1598 0.7500 1
O1 O 0.2015 0.3942 0.6189 1
O2 O 0.2375 0.0942 0.1284 1
O3 O 0.3015 0.1414 0.8584 1
O4 O 0.3160 0.3882 0.3970 1
```

Copy entry 4 word for word.
YW3O8: simulated powder diffractogram (CuKα), based on a cell relaxed with PBE+U.
Peak positions follow from Bragg's law for the DFT cell and can differ from measured ones.

Principal peaks in the range 2θ from 5° to 70°, low angle first:
- hkl 0 1 2, d 3.733, 2θ 23.84, intensity 79
- hkl 1 1 1, d 3.126, 2θ 28.56, intensity 100
- hkl 1 1 -3, d 3.036, 2θ 29.42, intensity 91
- hkl 2 0 -2, d 2.725, 2θ 32.87, intensity 42
- hkl 1 2 -1, d 2.580, 2θ 34.78, intensity 59
- hkl 0 0 4, d 2.422, 2θ 37.12, intensity 28
- hkl 0 3 2, d 1.811, 2θ 50.39, intensity 31
- hkl 1 2 3, d 1.783, 2θ 51.23, intensity 29
- hkl 1 2 -5, d 1.749, 2θ 52.30, intensity 28
- hkl 3 2 -3, d 1.544, 2θ 59.93, intensity 21

Atomic structure:
```
data_YW3O8
_symmetry_space_group_name_H-M 'P 1 2/c 1'
_symmetry_Int_Tables_number 13
_symmetry_space_group_name_Hall '-P 2yc'
_cell_length_a 5.4537
_cell_length_b 5.8570
_cell_length_c 10.9310
_cell_angle_alpha 90.00
_cell_angle_beta 117.57
_cell_angle_gamma 90.00
loop_
_atom_site_label
_atom_site_type_symbol
_atom_site_fract_x
_atom_site_fract_y
_atom_site_fract_z
_atom_site_occupancy
Y1 Y 0.0000 0.1705 0.2500 1
W1 W 0.2544 0.3494 0.0017 1
W2 W 0.5000 0.1598 0.7500 1
O1 O 0.2015 0.3942 0.6189 1
O2 O 0.2375 0.0942 0.1284 1
O3 O 0.3015 0.1414 0.8584 1
O4 O 0.3160 0.3882 0.3970 1
```